Record 1
Structure and calculated powder XRD pattern of Sr3Ti3Ga8O20 (a crystal structure in the Materials Project, relaxed with PBE; Cu Kα X-rays).
No peak broadening, texture or thermal motion is included.

Structure:
Cell lengths 15.796, 11.813, 5.173 Å; angles 90.00, 108.66, 90.00 degrees
Space group C2/m (No. 12)
Inequivalent atoms, fractional coordinates:
Sr 0.000 0.000 0.000 [2 per cell]
Sr 0.225 0.500 0.715 [4 per cell]
Ti 0.000 0.373 0.500 [4 per cell]
Ti 0.000 0.500 0.000 [2 per cell]
Ga 0.141 0.282 0.168 [8 per cell]
Ga 0.143 0.135 0.654 [8 per cell]
O 0.070 0.500 0.400 [4 per cell]
O 0.076 0.381 0.892 [8 per cell]
O 0.082 0.253 0.425 [8 per cell]
O 0.094 0.000 0.495 [4 per cell]
O 0.142 0.139 0.013 [8 per cell]
O 0.240 0.365 0.350 [8 per cell]

Most intense lines, 2θ from 5° to 70°, low angle first:
(4 2 0), 28.24°, I 100
(1 3 -1), 28.49°, I 98
(2 2 1), 29.02°, I 64
(4 2 -1), 29.19°, I 46
(3 1 1), 30.33°, I 38
(5 1 -1), 30.55°, I 65
(1 3 1), 30.87°, I 41
(2 0 -2), 34.68°, I 76
(2 4 -1), 35.53°, I 56
(6 4 1), 55.89°, I 49

***

Record 2
Structure and calculated powder XRD pattern of Sr2YTi2GaO7 (a crystal structure in the Materials Project, relaxed with PBE; Cu Kα X-rays).
No peak broadening, texture or thermal motion is included.

Structure:
Cell lengths 23.318, 5.636, 5.525 Å; angles 90.00, 90.00, 90.00 degrees
Space group Ima2 (No. 46)
Inequivalent atoms, fractional coordinates:
Sr 0.155 0.024 0.000 [8 per cell]
Y 0.000 0.000 0.992 [4 per cell]
Ti 0.060 0.000 0.493 [8 per cell]
Ga 0.250 0.570 0.031 [4 per cell]
O 0.067 0.248 0.745 [8 per cell]
O 0.068 0.748 0.740 [8 per cell]
O 0.177 0.048 0.469 [8 per cell]
O 0.250 0.624 0.378 [4 per cell]

Most intense lines, 2θ from 5° to 70°, low angle first:
(4 1 1), 27.29°, I 9
(0 2 0), 31.75°, I 23
(0 0 2), 32.35°, I 100
(8 1 1), 38.40°, I 12
(6 2 0), 39.50°, I 8
(6 0 2), 40.05°, I 7
(0 2 2), 46.01°, I 28
(12 0 0), 46.74°, I 7
(6 3 1), 56.93°, I 13
(6 1 3), 57.76°, I 15